The following is a calculated powder X-ray diffraction pattern of KFe2Mo2O10. It was derived from the PBE+U geometry in Alexandria, using Cu Kα, 1.54184 Å.
Neutral-atom scattering factors, no anomalous dispersion.

Most intense lines, 2θ = 15–90°, low angle first:
Position (°2θ)	I/Imax
17.7	100
18.7	53
22.8	82
25.2	84
25.7	61
30.6	63
31.3	38
34.8	37
35.1	50
50.9	46

Cell and atoms:
```
KFe2Mo2O10
1.0
5.024 -2.992 0.000
5.024 2.992 0.000
-3.475 0.000 8.071
K Fe Mo O
1 2 2 10
Direct
0.000 0.000 0.000
0.000 0.500 0.500
0.500 0.000 0.500
0.439 0.439 0.258
0.561 0.561 0.742
0.187 0.187 0.579
0.206 0.687 0.713
0.313 0.794 0.287
0.314 0.314 0.054
0.338 0.338 0.400
0.662 0.662 0.600
0.686 0.686 0.946
0.687 0.206 0.713
0.794 0.313 0.287
0.813 0.813 0.421
```